Entry 1:
Starting from a crystal structure in Alexandria, relaxed with GGA-PBE, the X-ray powder pattern of K6TaP4 was calculated for CuKα.
Lines closer than 0.1° are merged.

Atomic structure:
```
data_K6TaP4
_space_group_name_H-M_alt 'P 63 m c'
_space_group_IT_number 186
_space_group_name_Hall 'P 6c -2c'
_cell_length_a 10.1966
_cell_length_b 10.1966
_cell_length_c 8.0777
_cell_angle_alpha 90.00
_cell_angle_beta 90.00
_cell_angle_gamma 120.00
loop_
_atom_site_label
_atom_site_type_symbol
_atom_site_fract_x
_atom_site_fract_y
_atom_site_fract_z
K1 K 0.0658 0.5329 0.0000
K2 K 0.1449 0.2898 0.3179
Ta1 Ta 0.3333 0.6667 0.6095
P1 P 0.2031 0.4063 0.7018
P2 P 0.3333 0.6667 0.3130
```

Main lines, low angle first (2θ from 10° to 90°):
index, 2θ/deg, d/Å, I/Imax
1 0 0, 10.02, 8.831, 72
1 0 1, 14.86, 5.960, 100
1 1 0, 17.39, 5.098, 26
1 1 2, 28.19, 3.166, 28
2 1 1, 28.95, 3.085, 81
2 0 2, 29.98, 2.980, 26
1 0 3, 34.84, 2.575, 36
2 2 0, 35.21, 2.549, 47
2 1 3, 43.18, 2.095, 28
3 1 3, 50.38, 1.811, 27

=====

Entry 2:
Starting from a crystal structure in Alexandria, relaxed with GGA-PBE, the X-ray powder pattern of Mg2BeAl was calculated for CuKα.
Lines closer than 0.1° are merged.

Atomic structure:
```
data_Mg2BeAl
_space_group_name_H-M_alt 'P 1 2 1'
_space_group_IT_number 3
_cell_length_a 5.2835
_cell_length_b 4.9474
_cell_length_c 6.0914
_cell_angle_alpha 90.00
_cell_angle_beta 115.76
_cell_angle_gamma 90.00
loop_
_space_group_symop_operation_xyz
'x,y,z'
'-x,y,-z'
loop_
_atom_site_label
_atom_site_type_symbol
_atom_site_fract_x
_atom_site_fract_y
_atom_site_fract_z
Mg1 Mg 0.0000 0.0000 0.0000
Mg2 Mg 0.1722 0.5376 0.3458
Mg3 Mg 0.5000 0.3213 0.0000
Be1 Be 0.4051 0.8145 0.8089
Al1 Al 0.0000 0.0406 0.5000
Al2 Al 0.5000 0.0406 0.5000
```

Main lines, low angle first (2θ from 10° to 90°):
index, 2θ/deg, d/Å, I/Imax
0 0 2, 32.64, 2.743, 23
1 1 1, 34.91, 2.570, 100
0 2 0, 36.32, 2.474, 26
0 1 2, 37.49, 2.399, 47
2 0 0, 37.80, 2.380, 33
2 1 -1, 38.64, 2.330, 34
0 2 1, 39.98, 2.255, 36
1 2 0, 41.12, 2.195, 50
2 1 -2, 42.13, 2.145, 81
2 0 2, 61.69, 1.504, 24

=====

Please write out number 1 again, unchanged.
Starting from a crystal structure in Alexandria, relaxed with GGA-PBE, the X-ray powder pattern of K6TaP4 was calculated for CuKα.
Lines closer than 0.1° are merged.

Atomic structure:
```
data_K6TaP4
_space_group_name_H-M_alt 'P 63 m c'
_space_group_IT_number 186
_space_group_name_Hall 'P 6c -2c'
_cell_length_a 10.1966
_cell_length_b 10.1966
_cell_length_c 8.0777
_cell_angle_alpha 90.00
_cell_angle_beta 90.00
_cell_angle_gamma 120.00
loop_
_atom_site_label
_atom_site_type_symbol
_atom_site_fract_x
_atom_site_fract_y
_atom_site_fract_z
K1 K 0.0658 0.5329 0.0000
K2 K 0.1449 0.2898 0.3179
Ta1 Ta 0.3333 0.6667 0.6095
P1 P 0.2031 0.4063 0.7018
P2 P 0.3333 0.6667 0.3130
```

Main lines, low angle first (2θ from 10° to 90°):
index, 2θ/deg, d/Å, I/Imax
1 0 0, 10.02, 8.831, 72
1 0 1, 14.86, 5.960, 100
1 1 0, 17.39, 5.098, 26
1 1 2, 28.19, 3.166, 28
2 1 1, 28.95, 3.085, 81
2 0 2, 29.98, 2.980, 26
1 0 3, 34.84, 2.575, 36
2 2 0, 35.21, 2.549, 47
2 1 3, 43.18, 2.095, 28
3 1 3, 50.38, 1.811, 27